1.
# Ce11Sn9Rh4
Computed X-ray powder pattern, Cu Ka. Input: a PBE-relaxed structure.
Lines closer than 0.1° are merged.

Peak list (10 most intense, 2θ from 10° to 90°, sorted by position)
Position (°2θ)	Rel. int.
30.5	25.3
31.7	27.3
33.5	100.0
33.8	100.0
36.1	26.5
36.3	68.0
39.3	34.6
44.1	42.3
58.4	34.6
60.6	19.9

Structure:
Lattice parameters (Å, degrees): 12.5999 12.5999 4.1054 90.00 90.00 111.92
Atoms (fractional coordinates):
Ce  0.0000  0.0000  0.0000
Ce  0.0699  0.4169  0.0000
Ce  0.1584  0.8416  0.0000
Ce  0.3097  0.3097  0.0000
Ce  0.3720  0.6280  0.0000
Ce  0.4169  0.0699  0.0000
Ce  0.5831  0.9301  0.0000
Ce  0.6280  0.3720  0.0000
Ce  0.6903  0.6903  0.0000
Ce  0.8416  0.1584  0.0000
Ce  0.9301  0.5831  0.0000
Sn  0.0736  0.2200  0.5000
Sn  0.1562  0.6306  0.5000
Sn  0.2200  0.0736  0.5000
Sn  0.3694  0.8438  0.5000
Sn  0.5000  0.5000  0.5000
Sn  0.6306  0.1562  0.5000
Sn  0.7800  0.9264  0.5000
Sn  0.8438  0.3694  0.5000
Sn  0.9264  0.7800  0.5000
Rh  0.2438  0.4482  0.5000
Rh  0.4482  0.2438  0.5000
Rh  0.5518  0.7562  0.5000
Rh  0.7562  0.5518  0.5000

=====

2.
# ZrTi3Ni
Computed X-ray powder pattern, Cu Ka. Input: a PBE-relaxed structure.
Lines closer than 0.1° are merged.

Peak list (10 most intense, 2θ from 10° to 90°, sorted by position)
Position (°2θ)	Rel. int.
26.9	27.2
27.7	96.1
32.9	70.8
33.5	67.2
34.5	30.7
39.4	100.0
39.7	58.7
43.6	26.1
55.5	24.2
57.1	51.0

Structure:
Lattice parameters (Å, degrees): 6.4504 6.4504 6.4504 118.28 90.47 121.20
Atoms (fractional coordinates):
Zr  0.3160  0.0660  0.2500
Zr  0.6840  0.9340  0.7500
Ti  0.1783  0.4283  0.7500
Ti  0.2210  0.0000  0.7210
Ti  0.2210  0.5000  0.2210
Ti  0.7790  0.0000  0.2790
Ti  0.7790  0.5000  0.7790
Ti  0.8217  0.5717  0.2500
Ni  0.0000  0.5000  0.5000
Ni  0.5000  0.5000  0.0000

=====

3.
# NdIn3Ni2
Computed X-ray powder pattern, Cu Ka. Input: a PBE-relaxed structure.
Lines closer than 0.1° are merged.

Peak list (10 most intense, 2θ from 10° to 90°, sorted by position)
Position (°2θ)	Rel. int.
31.2	34.5
31.6	20.3
31.9	27.5
33.5	100.0
35.7	54.3
36.4	22.9
42.0	68.6
42.7	25.0
56.9	21.2
66.5	22.6

Structure:
Lattice parameters (Å, degrees): 6.5330 6.5330 5.7407 90.00 90.00 84.43
Atoms (fractional coordinates):
Nd  0.1120  0.8880  0.7500
Nd  0.8880  0.1120  0.2500
In  0.0582  0.5984  0.2500
In  0.4016  0.9418  0.2500
In  0.4779  0.5221  0.7500
In  0.5221  0.4779  0.2500
In  0.5984  0.0582  0.7500
In  0.9418  0.4016  0.7500
Ni  0.2688  0.2688  0.0000
Ni  0.2688  0.2688  0.5000
Ni  0.7312  0.7312  0.0000
Ni  0.7312  0.7312  0.5000

=====

4.
# Rb3BiI4
Computed X-ray powder pattern, Cu Ka. Input: a PBE-relaxed structure.
Lines closer than 0.1° are merged.

Peak list (10 most intense, 2θ from 10° to 90°, sorted by position)
Position (°2θ)	Rel. int.
15.7	50.8
16.9	36.9
17.4	43.8
23.7	35.8
25.1	100.0
27.6	54.6
30.1	44.2
34.2	33.7
37.6	44.6
39.6	39.1

Structure:
Lattice parameters (Å, degrees): 11.8592 11.2781 7.0882 90.00 90.00 90.00
Atoms (fractional coordinates):
Rb  0.0000  0.0682  0.0000
Rb  0.1971  0.3665  0.4956
Rb  0.3029  0.6335  0.9956
Rb  0.5000  0.9318  0.5000
Rb  0.6971  0.6335  0.9956
Rb  0.8029  0.3665  0.4956
Bi  0.0000  0.6827  0.4609
Bi  0.5000  0.3173  0.9609
I  0.0000  0.1288  0.4998
I  0.0000  0.7335  0.0435
I  0.2339  0.3147  0.9965
I  0.2661  0.6853  0.4965
I  0.5000  0.2665  0.5435
I  0.5000  0.8712  0.9998
I  0.7339  0.6853  0.4965
I  0.7661  0.3147  0.9965

=====

5.
# Th6Hg3Ru
Computed X-ray powder pattern, Cu Ka. Input: a PBE-relaxed structure.
Lines closer than 0.1° are merged.

Peak list (10 most intense, 2θ from 10° to 90°, sorted by position)
Position (°2θ)	Rel. int.
27.8	21.3
32.3	100.0
32.9	21.3
43.5	15.8
49.1	23.7
58.3	9.3
60.0	15.8
60.3	14.3
61.8	4.6
81.1	12.6

Structure:
Lattice parameters (Å, degrees): 8.4279 8.4279 8.4279 82.68 82.68 82.68
Atoms (fractional coordinates):
Th  0.1224  0.7816  0.7816
Th  0.1736  0.5187  0.5187
Th  0.2184  0.2184  0.8776
Th  0.2184  0.8776  0.2184
Th  0.4813  0.4813  0.8264
Th  0.4813  0.8264  0.4813
Th  0.5187  0.1736  0.5187
Th  0.5187  0.5187  0.1736
Th  0.7816  0.1224  0.7816
Th  0.7816  0.7816  0.1224
Th  0.8264  0.4813  0.4813
Th  0.8776  0.2184  0.2184
Hg  0.1314  0.1314  0.5042
Hg  0.1314  0.5042  0.1314
Hg  0.4958  0.8686  0.8686
Hg  0.5042  0.1314  0.1314
Hg  0.8686  0.4958  0.8686
Hg  0.8686  0.8686  0.4958
Ru  0.0000  0.0000  0.0000
Ru  0.5000  0.5000  0.5000

=====

6.
# Cs3H5Pt
Computed X-ray powder pattern, Cu Ka. Input: a PBE-relaxed structure.
Lines closer than 0.1° are merged.

Peak list (10 most intense, 2θ from 10° to 90°, sorted by position)
Position (°2θ)	Rel. int.
24.4	14.0
26.1	100.0
28.3	20.4
28.7	26.6
31.0	25.6
42.7	21.1
49.3	17.5
52.2	11.4
58.6	9.6
68.5	10.4

Structure:
Lattice parameters (Å, degrees): 8.1604 8.1604 6.2239 90.00 90.00 90.00
Atoms (fractional coordinates):
Cs  0.0000  0.0000  0.0000
Cs  0.1846  0.3154  0.5000
Cs  0.3154  0.8154  0.5000
Cs  0.5000  0.5000  0.0000
Cs  0.6846  0.1846  0.5000
Cs  0.8154  0.6846  0.5000
H  0.0000  0.0000  0.5000
H  0.1033  0.6033  0.1870
H  0.1033  0.6033  0.8130
H  0.3967  0.1033  0.1870
H  0.3967  0.1033  0.8130
H  0.5000  0.5000  0.5000
H  0.6033  0.8967  0.1870
H  0.6033  0.8967  0.8130
H  0.8967  0.3967  0.1870
H  0.8967  0.3967  0.8130
Pt  0.0000  0.5000  0.0000
Pt  0.5000  0.0000  0.0000

=====

7.
# BaSm4Si3SeO12
Computed X-ray powder pattern, Cu Ka. Input: a PBE-relaxed structure.
Lines closer than 0.1° are merged.

Peak list (10 most intense, 2θ from 10° to 90°, sorted by position)
Position (°2θ)	Rel. int.
21.8	35.3
27.1	18.9
30.1	91.4
30.9	58.7
31.2	100.0
44.5	43.0
47.4	24.2
47.9	57.2
49.4	22.8
73.8	23.1

Structure:
Lattice parameters (Å, degrees): 10.0349 10.0349 6.9789 90.00 90.00 120.00
Atoms (fractional coordinates):
Ba  0.3333  0.6667  0.0000
Ba  0.6667  0.3333  0.5000
Sm  0.0151  0.7581  0.7409
Sm  0.2419  0.2571  0.7409
Sm  0.2571  0.0151  0.2409
Sm  0.3333  0.6667  0.4946
Sm  0.6667  0.3333  0.9946
Sm  0.7429  0.9849  0.7409
Sm  0.7581  0.7429  0.2409
Sm  0.9849  0.2419  0.2409
Si  0.0270  0.4034  0.7493
Si  0.3764  0.9730  0.7493
Si  0.4034  0.3764  0.2493
Si  0.5966  0.6236  0.7493
Si  0.6236  0.0270  0.2493
Si  0.9730  0.5966  0.2493
Se  0.0000  0.0000  0.4866
Se  0.0000  0.0000  0.9866
O  0.0827  0.3452  0.5596
O  0.1024  0.3599  0.9333
O  0.1160  0.5937  0.7228
O  0.1580  0.6732  0.2777
O  0.2576  0.8976  0.9333
O  0.2624  0.9173  0.5596
O  0.3268  0.4847  0.2777
O  0.3452  0.2624  0.0596
O  0.3599  0.2576  0.4333
O  0.4063  0.5223  0.7228
O  0.4777  0.8840  0.7228
O  0.4847  0.1580  0.7777
O  0.5153  0.8420  0.2777
O  0.5223  0.1160  0.2228
O  0.5937  0.4777  0.2228
O  0.6401  0.7424  0.9333
O  0.6548  0.7376  0.5596
O  0.6732  0.5153  0.7777
O  0.7376  0.0827  0.0596
O  0.7424  0.1024  0.4333
O  0.8420  0.3268  0.7777
O  0.8840  0.4063  0.2228
O  0.8976  0.6401  0.4333
O  0.9173  0.6548  0.0596

=====

8.
# Nd6TiInS12
Computed X-ray powder pattern, Cu Ka. Input: a PBE-relaxed structure.
Lines closer than 0.1° are merged.

Peak list (10 most intense, 2θ from 10° to 90°, sorted by position)
Position (°2θ)	Rel. int.
25.2	100.0
25.9	52.8
26.2	39.4
26.6	52.0
34.1	82.6
34.1	28.8
35.7	54.1
40.1	44.7
44.9	28.4
46.2	40.6

Structure:
Lattice parameters (Å, degrees): 13.9177 16.3756 3.9301 90.00 90.00 90.00
Atoms (fractional coordinates):
Nd  0.0478  0.2172  0.0000
Nd  0.1842  0.6498  0.0000
Nd  0.2380  0.8995  0.5000
Nd  0.2620  0.3995  0.0000
Nd  0.3158  0.1498  0.5000
Nd  0.4522  0.7172  0.5000
Nd  0.5478  0.2828  0.5000
Nd  0.6842  0.8502  0.5000
Nd  0.7380  0.6005  0.0000
Nd  0.7620  0.1005  0.5000
Nd  0.8158  0.3502  0.0000
Nd  0.9522  0.7828  0.0000
Ti  0.0000  0.0000  0.5000
Ti  0.5000  0.5000  0.0000
In  0.0000  0.5000  0.5000
In  0.5000  0.0000  0.0000
S  0.0216  0.3948  0.0000
S  0.0833  0.9269  0.0000
S  0.1035  0.7549  0.5000
S  0.1198  0.1024  0.5000
S  0.1860  0.2874  0.5000
S  0.1895  0.5209  0.5000
S  0.3105  0.0209  0.0000
S  0.3140  0.7874  0.0000
S  0.3802  0.6024  0.0000
S  0.3965  0.2549  0.0000
S  0.4167  0.4269  0.5000
S  0.4784  0.8948  0.5000
S  0.5216  0.1052  0.5000
S  0.5833  0.5731  0.5000
S  0.6035  0.7451  0.0000
S  0.6198  0.3976  0.0000
S  0.6860  0.2126  0.0000
S  0.6895  0.9791  0.0000
S  0.8105  0.4791  0.5000
S  0.8140  0.7126  0.5000
S  0.8802  0.8976  0.5000
S  0.8965  0.2451  0.5000
S  0.9167  0.0731  0.0000
S  0.9784  0.6052  0.0000